Entry 1:
For NbB4, a structure optimized by DFT (GGA-PBE) gives the calculated X-ray powder pattern in this record (Cu Ka).

Main lines, in order of rising 2θ (2θ from 15° to 90°):
2θ/deg	I/Imax
18.16	26
22.44	39
28.90	71
29.02	28
36.89	100
41.33	19
45.80	14
47.51	39
53.07	31
55.07	23
58.28	18
78.34	18

Lattice parameters (Å, degrees): 6.9078 6.9078 3.9623 90.00 90.00 90.00
Positions (direct):
Nb1 0.1338 0.3662 0.0000
Nb2 0.3662 0.8662 0.0000
Nb3 0.6338 0.1338 0.0000
Nb4 0.8662 0.6338 0.0000
B1 0.0000 0.0000 0.1999
B2 0.0000 0.0000 0.8001
B3 0.0323 0.8202 0.5000
B4 0.0866 0.5866 0.5000
B5 0.1798 0.0323 0.5000
B6 0.3202 0.5323 0.5000
B7 0.4134 0.0866 0.5000
B8 0.4677 0.3202 0.5000
B9 0.5000 0.5000 0.1999
B10 0.5000 0.5000 0.8001
B11 0.5323 0.6798 0.5000
B12 0.5866 0.9134 0.5000
B13 0.6798 0.4677 0.5000
B14 0.8202 0.9677 0.5000
B15 0.9134 0.4134 0.5000
B16 0.9677 0.1798 0.5000



Entry 2:
For Tb7CuS5, a structure optimized by DFT (GGA-PBE) gives the calculated X-ray powder pattern in this record (Cu Ka).

Main lines, in order of rising 2θ (2θ from 15° to 90°):
2θ/deg	I/Imax
27.91	29
28.32	51
29.93	100
30.56	24
31.91	83
33.05	62
45.52	27
46.39	46
46.63	31
55.24	30
56.40	34
76.17	23

Lattice parameters (Å, degrees): 6.7411 6.7411 23.5748 90.01 90.01 33.59
Positions (direct):
Tb1 0.0362 0.0362 0.2500
Tb2 0.1374 0.1374 0.5369
Tb3 0.1373 0.1373 0.9631
Tb4 0.3120 0.3120 0.1765
Tb5 0.3117 0.3117 0.3234
Tb6 0.4121 0.4121 0.6084
Tb7 0.4118 0.4118 0.8915
Tb8 0.5882 0.5882 0.1085
Tb9 0.5879 0.5879 0.3916
Tb10 0.6883 0.6883 0.6766
Tb11 0.6880 0.6880 0.8235
Tb12 0.8627 0.8627 0.0369
Tb13 0.8626 0.8626 0.4631
Tb14 0.9638 0.9638 0.7500
Cu1 0.2986 0.2986 0.7501
Cu2 0.7014 0.7014 0.2499
S1 0.0491 0.0491 0.6423
S2 0.0489 0.0489 0.8577
S3 0.2248 0.2248 0.0706
S4 0.2248 0.2248 0.4293
S5 0.5000 0.5000 0.0000
S6 0.5000 0.5000 0.5000
S7 0.7752 0.7752 0.5707
S8 0.7752 0.7752 0.9294
S9 0.9511 0.9511 0.1423
S10 0.9509 0.9509 0.3577



Entry 3:
For NiPb2Se, a structure optimized by DFT (GGA-PBE) gives the calculated X-ray powder pattern in this record (Cu Ka).

Main lines, in order of rising 2θ (2θ from 15° to 90°):
2θ/deg	I/Imax
28.14	31
31.45	100
32.36	28
33.30	58
40.44	20
46.21	14
49.36	44
55.96	13
59.47	12
59.72	16
60.27	29
81.05	14

Lattice parameters (Å, degrees): 3.6922 3.6922 24.8984 90.00 90.00 120.00
Positions (direct):
Ni1 0.0000 0.0000 0.0000
Ni2 0.3333 0.6667 0.6667
Ni3 0.6667 0.3333 0.3333
Pb1 0.0000 0.0000 0.5243
Pb2 0.0000 0.0000 0.7394
Pb3 0.3333 0.6667 0.1909
Pb4 0.3333 0.6667 0.4061
Pb5 0.6667 0.3333 0.0727
Pb6 0.6667 0.3333 0.8576
Se1 0.0000 0.0000 0.2955
Se2 0.3333 0.6667 0.9622
Se3 0.6667 0.3333 0.6289



Entry 4:
For Pm2Ga12Pt7, a structure optimized by DFT (GGA-PBE) gives the calculated X-ray powder pattern in this record (Cu Ka).

Main lines, in order of rising 2θ (2θ from 15° to 90°):
2θ/deg	I/Imax
27.06	48
27.64	25
29.51	47
34.58	100
35.67	22
41.82	48
43.01	49
43.15	63
47.80	27
50.52	30
51.55	17
66.24	21

Lattice parameters (Å, degrees): 10.0683 10.0683 4.2063 90.00 90.00 120.00
Positions (direct):
Pm1 0.0000 0.0000 0.0000
Pm2 0.3333 0.6667 0.5000
Ga1 0.0202 0.2801 0.5000
Ga2 0.1429 0.7490 0.0000
Ga3 0.2510 0.3939 0.0000
Ga4 0.2599 0.9798 0.5000
Ga5 0.3702 0.1941 0.0000
Ga6 0.5363 0.4157 0.5000
Ga7 0.5843 0.1206 0.5000
Ga8 0.6061 0.8571 0.0000
Ga9 0.7199 0.7401 0.5000
Ga10 0.8059 0.1761 0.0000
Ga11 0.8239 0.6298 0.0000
Ga12 0.8794 0.4637 0.5000
Pt1 0.0327 0.4549 0.0000
Pt2 0.2434 0.2346 0.5000
Pt3 0.4222 0.9673 0.0000
Pt4 0.5451 0.5778 0.0000
Pt5 0.6667 0.3333 0.0000
Pt6 0.7654 0.0088 0.5000
Pt7 0.9912 0.7566 0.5000



Entry 5:
For Na4PmSc3Te8, a structure optimized by DFT (GGA-PBE) gives the calculated X-ray powder pattern in this record (Cu Ka).

Main lines, in order of rising 2θ (2θ from 15° to 90°):
2θ/deg	I/Imax
23.59	9
25.09	27
28.62	100
36.76	8
39.97	36
41.86	36
48.61	8
51.50	18
59.26	11
65.77	13
68.45	15
75.17	10

Lattice parameters (Å, degrees): 9.0405 9.0405 9.0405 57.03 57.03 57.03
Positions (direct):
Na1 0.0000 0.0000 0.0000
Na2 0.0000 0.5000 0.5000
Na3 0.5000 0.0000 0.5000
Na4 0.5000 0.5000 0.0000
Pm1 0.5000 0.5000 0.5000
Sc1 0.0000 0.0000 0.5000
Sc2 0.0000 0.5000 0.0000
Sc3 0.5000 0.0000 0.0000
Te1 0.2271 0.7497 0.7497
Te2 0.2392 0.2392 0.2392
Te3 0.2503 0.2503 0.7729
Te4 0.2503 0.7729 0.2503
Te5 0.7497 0.2271 0.7497
Te6 0.7497 0.7497 0.2271
Te7 0.7608 0.7608 0.7608
Te8 0.7729 0.2503 0.2503



Entry 6:
For KNa10Li2, a structure optimized by DFT (GGA-PBE) gives the calculated X-ray powder pattern in this record (Cu Ka).

Main lines, in order of rising 2θ (2θ from 15° to 90°):
2θ/deg	I/Imax
25.66	47
25.93	23
26.27	22
26.93	50
29.50	91
29.69	100
29.92	29
30.12	50
30.25	23
30.90	22
33.23	24
33.82	28

Lattice parameters (Å, degrees): 6.6242 9.0890 9.1302 83.50 69.44 70.16
Positions (direct):
K1 0.0000 0.0000 0.0000
Na1 0.0000 0.5000 0.0000
Na2 0.0155 0.3421 0.6340
Na3 0.2830 0.2086 0.2266
Na4 0.3493 0.6590 0.6343
Na5 0.4902 0.7915 0.2267
Na6 0.5000 0.5000 0.0000
Na7 0.5098 0.2085 0.7733
Na8 0.6507 0.3410 0.3657
Na9 0.7170 0.7914 0.7734
Na10 0.9845 0.6579 0.3660
Li1 0.0000 0.0000 0.5000
Li2 0.5000 0.0000 0.5000



> What is the formula in the first record?

NbB4